No. 1
HoZn10Ag2: theoretical PXRD pattern (a wavelength of 1.5418 Å), based on a DFT-relaxed cell (GGA-PBE, Alexandria).
Intensities are scaled so that the largest is 100.

Main lines, sorted by position (2θ = 10–90°):
| 2theta | Rel. int. |
| --- | --- |
| 34.43 | 44.0 |
| 38.86 | 88.6 |
| 39.61 | 42.8 |
| 40.54 | 100.0 |
| 43.75 | 26.2 |
| 44.34 | 18.9 |
| 44.94 | 15.3 |
| 72.58 | 24.4 |

Structure:
Cell lengths 8.9124, 6.9483, 6.7737 Å; angles 81.00, 50.36, 48.65 degrees
Fractional positions:
Ho  0.0000  0.0000  0.0000
Zn  0.0000  0.0000  0.5000
Zn  0.0069  0.6461  0.3539
Zn  0.2877  0.5045  0.4955
Zn  0.3539  0.9931  0.0069
Zn  0.4955  0.7123  0.2877
Zn  0.5000  0.5000  0.0000
Zn  0.5045  0.2877  0.7123
Zn  0.6461  0.0069  0.9931
Zn  0.7123  0.4955  0.5045
Zn  0.9931  0.3539  0.6461
Ag  0.0000  0.5000  0.0000
Ag  0.5000  0.0000  0.5000

=====

No. 2
MnBe2Ge2: theoretical PXRD pattern (a wavelength of 1.5418 Å), based on a DFT-relaxed cell (GGA-PBE, Alexandria).
Intensities are scaled so that the largest is 100.

Main lines, sorted by position (2θ = 10–90°):
| 2theta | Rel. int. |
| --- | --- |
| 18.82 | 22.9 |
| 25.97 | 100.0 |
| 32.27 | 80.4 |
| 38.17 | 42.9 |
| 45.81 | 94.7 |
| 46.75 | 57.9 |
| 61.10 | 61.6 |
| 85.45 | 19.1 |

Structure:
Cell lengths 3.9615, 3.9615, 4.7159 Å; angles 90.00, 90.00, 120.00 degrees
Fractional positions:
Mn  0.0000  0.0000  0.0000
Be  0.3333  0.6667  0.2500
Be  0.3333  0.6667  0.7500
Ge  0.0000  0.0000  0.5000
Ge  0.6667  0.3333  0.0000

=====

No. 3
La3TbNd3Te8: theoretical PXRD pattern (a wavelength of 1.5418 Å), based on a DFT-relaxed cell (GGA-PBE, Alexandria).
Intensities are scaled so that the largest is 100.

Main lines, sorted by position (2θ = 10–90°):
| 2theta | Rel. int. |
| --- | --- |
| 27.92 | 100.0 |
| 39.79 | 38.5 |
| 40.02 | 38.0 |
| 49.50 | 20.5 |
| 57.71 | 12.9 |
| 65.14 | 17.7 |
| 65.47 | 17.6 |
| 72.54 | 12.9 |

Structure:
Cell lengths 9.0626, 9.0626, 9.0626 Å; angles 59.63, 59.63, 59.63 degrees
Fractional positions:
La  0.0000  0.5000  0.5000
La  0.5000  0.0000  0.5000
La  0.5000  0.5000  0.0000
Tb  0.5000  0.5000  0.5000
Nd  0.0000  0.0000  0.5000
Nd  0.0000  0.5000  0.0000
Nd  0.5000  0.0000  0.0000
Te  0.2485  0.2485  0.2485
Te  0.2489  0.7480  0.7480
Te  0.2520  0.2520  0.7511
Te  0.2520  0.7511  0.2520
Te  0.7480  0.2489  0.7480
Te  0.7480  0.7480  0.2489
Te  0.7511  0.2520  0.2520
Te  0.7515  0.7515  0.7515